Diffraction record for PmPu4N5. The XRD peak list is theoretical, not measured: it uses DFT lattice parameters and positions (GGA-PBE) and Cu Kα (λ = 1.5418 Å).
No peak broadening, texture or thermal motion is included.

Main lines, low angle first (2θ from 10° to 80°):
10.13 deg, I = 2
18.61 deg, I = 1
31.30 deg, I = 100
36.29 deg, I = 66
52.24 deg, I = 39
52.38 deg, I = 8
62.15 deg, I = 31
62.28 deg, I = 15
65.23 deg, I = 8
65.36 deg, I = 8
76.93 deg, I = 3
77.12 deg, I = 5

Structural model:
```
data_PmPu4N5
_chemical_formula_sum 'Pm1 Pu4 N5'
_cell_length_a 9.246
_cell_length_b 9.246
_cell_length_c 9.246
_cell_angle_alpha 158.16
_cell_angle_beta 148.90
_cell_angle_gamma 38.32
_space_group_name_H-M_alt 'P 1'
_space_group_IT_number 1
_space_group_name_Hall 'P 1'
loop_
_atom_site_label
_atom_site_fract_x
_atom_site_fract_y
_atom_site_fract_z
Pm1 0.000 0.000 0.000
Pu1 0.201 0.201 0.000
Pu2 0.401 0.401 0.000
Pu3 0.599 0.599 0.000
Pu4 0.799 0.799 0.000
N1 0.107 0.607 0.500
N2 0.299 0.799 0.500
N3 0.500 0.000 0.500
N4 0.701 0.201 0.500
N5 0.893 0.393 0.500
```